# 1
The following is a simulated powder diffraction line list of Li4RhAu. It was derived from a cell relaxed with GGA-PBE, using Cu Kα (λ = 1.5418 Å).
No peak broadening, texture or thermal motion is included.

Principal peaks in the range 2θ from 10° to 90°, low angle first:
20.37 deg, d = 4.361 Å, rel. 9; 24.10 deg, d = 3.692 Å, rel. 100; 33.11 deg, d = 2.705 Å, rel. 14; 41.37 deg, d = 2.182 Å, rel. 56; 42.29 deg, d = 2.137 Å, rel. 9; 42.46 deg, d = 2.129 Å, rel. 18; 49.30 deg, d = 1.848 Å, rel. 10; 54.88 deg, d = 1.673 Å, rel. 13; 60.68 deg, d = 1.526 Å, rel. 12; 74.74 deg, d = 1.270 Å, rel. 9

Atomic structure:
Cell: 4.2745 5.4110 7.3649 Å, 90.00 90.00 90.00°
Atoms (fractional coordinates):
Li 0.0000 0.2433 0.1667
Li 0.0000 0.2433 0.8333
Li 0.0000 0.7567 0.1667
Li 0.0000 0.7567 0.8333
Li 0.5000 0.2567 0.3333
Li 0.5000 0.2567 0.6667
Li 0.5000 0.7433 0.3333
Li 0.5000 0.7433 0.6667
Rh 0.0000 0.5000 0.5000
Rh 0.5000 0.0000 0.0000
Au 0.0000 0.0000 0.5000
Au 0.5000 0.5000 0.0000

***

# 2
The following is a simulated powder diffraction line list of Li7RhAu3. It was derived from a cell relaxed with GGA-PBE, using Cu Kα (λ = 1.5418 Å).
No peak broadening, texture or thermal motion is included.

Principal peaks in the range 2θ from 10° to 90°, low angle first:
17.04 deg, d = 5.205 Å, rel. 76; 22.57 deg, d = 3.939 Å, rel. 50; 23.72 deg, d = 3.751 Å, rel. 100; 25.70 deg, d = 3.467 Å, rel. 87; 29.62 deg, d = 3.016 Å, rel. 42; 32.09 deg, d = 2.789 Å, rel. 47; 34.39 deg, d = 2.608 Å, rel. 57; 39.31 deg, d = 2.292 Å, rel. 53; 44.33 deg, d = 2.043 Å, rel. 41; 44.95 deg, d = 2.017 Å, rel. 47

Atomic structure:
Cell: 10.4956 10.4956 12.0651 Å, 90.00 90.00 164.59°
Atoms (fractional coordinates):
Li 0.0460 0.9540 0.5929
Li 0.0460 0.9540 0.9071
Li 0.0849 0.9151 0.1288
Li 0.0849 0.9151 0.3712
Li 0.1360 0.8640 0.7500
Li 0.2310 0.7690 0.1047
Li 0.2310 0.7690 0.3953
Li 0.7690 0.2310 0.6047
Li 0.7690 0.2310 0.8953
Li 0.8640 0.1360 0.2500
Li 0.9151 0.0849 0.6288
Li 0.9151 0.0849 0.8712
Li 0.9540 0.0460 0.0929
Li 0.9540 0.0460 0.4071
Rh 0.4987 0.5013 0.7500
Rh 0.5013 0.4987 0.2500
Au 0.3341 0.6659 0.7500
Au 0.3500 0.6500 0.0390
Au 0.3500 0.6500 0.4610
Au 0.6500 0.3500 0.5390
Au 0.6500 0.3500 0.9610
Au 0.6659 0.3341 0.2500

***

# 3
The following is a simulated powder diffraction line list of Sr8LiRhAu2. It was derived from a cell relaxed with GGA-PBE, using Cu Kα (λ = 1.5418 Å).
No peak broadening, texture or thermal motion is included.

Principal peaks in the range 2θ from 10° to 90°, low angle first:
11.74 deg, d = 7.535 Å, rel. 30; 16.72 deg, d = 5.304 Å, rel. 51; 17.08 deg, d = 5.190 Å, rel. 47; 22.89 deg, d = 3.884 Å, rel. 39; 25.68 deg, d = 3.469 Å, rel. 100; 26.86 deg, d = 3.319 Å, rel. 53; 33.34 deg, d = 2.688 Å, rel. 65; 33.75 deg, d = 2.656 Å, rel. 73; 39.29 deg, d = 2.293 Å, rel. 33; 40.97 deg, d = 2.203 Å, rel. 53

Atomic structure:
Cell: 7.3101 9.1716 7.5370 Å, 90.00 91.24 90.00°
Atoms (fractional coordinates):
Sr 0.2306 0.0000 0.3562
Sr 0.2584 0.2763 0.8358
Sr 0.2584 0.7237 0.8358
Sr 0.2590 0.5000 0.3182
Sr 0.7410 0.5000 0.6818
Sr 0.7416 0.2763 0.1642
Sr 0.7416 0.7237 0.1642
Sr 0.7694 0.0000 0.6438
Li 0.5000 0.0000 0.0000
Rh 0.5000 0.5000 0.0000
Au 0.0000 0.2618 0.5000
Au 0.0000 0.7382 0.5000